Tb4CoIr: theoretical XRD peak list (a wavelength of 1.5418 Å), based on a structure optimized by DFT (PBE).

Principal peaks in the range 2θ from 10° to 90°, by intensity:
(hkl), d/Å, I (rel.)
0 4 1, 2.763, 100
3 1 -1, 2.847, 95
2 4 -1, 2.621, 61
2 2 1, 2.238, 58
3 3 0, 2.112, 48
1 1 -2, 2.935, 46
1 3 -2, 2.481, 43
3 3 -2, 2.284, 40

Structure:
Unit cell a=8.813 b=13.138 c=6.231 alpha=90.00 beta=124.85 gamma=90.00
Space group C2/c (No. 15)
Asymmetric unit:
Tb (0.131, 0.180, 0.101) [8 per cell]
Tb (0.204, 0.440, 0.275) [8 per cell]
Co (0.000, 0.003, 0.750) [4 per cell]
Ir (0.000, 0.363, 0.750) [4 per cell]